Entry 1:
For AgS4Br, the PBE geometry in Alexandria gives the simulated PXRD pattern in this record (a wavelength of 1.5418 Å).

Largest 10 diffraction maxima, in order of rising 2θ, 2θ from 15° to 90°:
18.94 deg, rel. 22.5
22.45 deg, rel. 53.2
24.08 deg, rel. 100.0
27.06 deg, rel. 65.5
29.40 deg, rel. 55.6
32.18 deg, rel. 23.2
33.29 deg, rel. 43.0
33.70 deg, rel. 21.0
37.62 deg, rel. 23.0
47.83 deg, rel. 31.6

Atomic structure:
```
data_AgS4Br
_chemical_formula_sum 'Ag2 S8 Br2'
_space_group_name_H-M_alt 'P -1'
_space_group_IT_number 2
_space_group_name_Hall '-P 1'
_cell_length_a 4.117
_cell_length_b 9.153
_cell_length_c 9.507
_cell_angle_alpha 84.68
_cell_angle_beta 81.86
_cell_angle_gamma 88.24
loop_
_atom_site_label
_atom_site_fract_x
_atom_site_fract_y
_atom_site_fract_z
_atom_site_occupancy
Ag1 0.080 0.040 0.280 1
S1 0.120 0.234 0.425 1
S2 0.176 0.945 0.046 1
S3 0.331 0.151 0.591 1
S4 0.331 0.534 0.941 1
Br1 0.326 0.343 0.760 1
```



Entry 2:
For PmMgZn2Pt2, the PBE geometry in Alexandria gives the simulated PXRD pattern in this record (a wavelength of 1.5418 Å).

Largest 10 diffraction maxima, in order of rising 2θ, 2θ from 15° to 90°:
26.68 deg, rel. 17.3
26.80 deg, rel. 95.0
35.64 deg, rel. 98.3
40.75 deg, rel. 100.0
49.41 deg, rel. 38.3
55.23 deg, rel. 28.0
58.80 deg, rel. 30.5
70.63 deg, rel. 17.0
70.86 deg, rel. 26.4
74.18 deg, rel. 16.9

Atomic structure:
```
data_PmMgZn2Pt2
_chemical_formula_sum 'Pm1 Mg1 Zn2 Pt2'
_space_group_name_H-M_alt 'P -3 m 1'
_space_group_IT_number 164
_space_group_name_Hall '-P 3 2"'
_cell_length_a 4.4285
_cell_length_b 4.4285
_cell_length_c 6.6826
_cell_angle_alpha 90.00
_cell_angle_beta 90.00
_cell_angle_gamma 120.00
loop_
_atom_site_label
_atom_site_fract_x
_atom_site_fract_y
_atom_site_fract_z
_atom_site_occupancy
Pm1 0.0000 0.0000 0.0000 1
Mg1 0.0000 0.0000 0.5000 1
Zn1 0.3333 0.6667 0.3040 1
Pt1 0.3333 0.6667 0.7166 1
```



Entry 3:
For NaPr4Tl4, the PBE geometry in Alexandria gives the simulated PXRD pattern in this record (a wavelength of 1.5418 Å).

Largest 10 diffraction maxima, in order of rising 2θ, 2θ from 15° to 90°:
16.92 deg, rel. 26.6
29.77 deg, rel. 57.9
30.40 deg, rel. 92.7
30.63 deg, rel. 59.0
32.14 deg, rel. 37.7
33.59 deg, rel. 36.9
35.60 deg, rel. 100.0
37.65 deg, rel. 38.2
57.45 deg, rel. 24.8
67.05 deg, rel. 29.4

Atomic structure:
```
data_NaPr4Tl4
_chemical_formula_sum 'Na2 Pr8 Tl8'
_space_group_name_H-M_alt 'P 42/n'
_space_group_IT_number 86
_cell_length_a 9.298
_cell_length_b 9.298
_cell_length_c 6.342
_cell_angle_alpha 90.00
_cell_angle_beta 90.00
_cell_angle_gamma 90.00
loop_
_space_group_symop_operation_xyz
'x,y,z'
'-x,-y,-z'
'-y,x+1/2,z+1/2'
'y,-x+1/2,-z+1/2'
'-x+1/2,-y+1/2,z'
'x+1/2,y+1/2,-z'
'y+1/2,-x,z+1/2'
'-y+1/2,x,-z+1/2'
loop_
_atom_site_label
_atom_site_fract_x
_atom_site_fract_y
_atom_site_fract_z
_atom_site_occupancy
Na1 0.250 0.250 0.250 1
Pr1 0.078 0.824 0.611 1
Tl1 0.051 0.154 0.882 1
```



Entry 4:
For Nd3Sn5, the PBE geometry in Alexandria gives the simulated PXRD pattern in this record (a wavelength of 1.5418 Å).

Largest 10 diffraction maxima, in order of rising 2θ, 2θ from 15° to 90°:
28.71 deg, rel. 28.0
29.51 deg, rel. 22.9
29.92 deg, rel. 29.1
30.69 deg, rel. 32.4
32.25 deg, rel. 100.0
33.00 deg, rel. 99.6
33.81 deg, rel. 65.4
34.42 deg, rel. 72.9
38.20 deg, rel. 49.8
49.02 deg, rel. 32.6

Atomic structure:
```
data_Nd3Sn5
_chemical_formula_sum 'Nd12 Sn20'
_space_group_name_H-M_alt 'P n m a'
_space_group_IT_number 62
_space_group_name_Hall '-P 2ac 2n'
_cell_length_a 13.028
_cell_length_b 10.606
_cell_length_c 6.513
_cell_angle_alpha 90.00
_cell_angle_beta 90.00
_cell_angle_gamma 90.00
loop_
_atom_site_label
_atom_site_fract_x
_atom_site_fract_y
_atom_site_fract_z
_atom_site_occupancy
Nd1 0.057 0.250 0.130 1
Nd2 0.151 0.505 0.625 1
Sn1 0.001 0.750 0.396 1
Sn2 0.091 0.548 0.128 1
Sn3 0.229 0.750 0.890 1
Sn4 0.244 0.750 0.354 1
```



Entry 5:
For Tl14As2Se9, the PBE geometry in Alexandria gives the simulated PXRD pattern in this record (a wavelength of 1.5418 Å).

Largest 10 diffraction maxima, in order of rising 2θ, 2θ from 15° to 90°:
24.57 deg, rel. 25.2
24.97 deg, rel. 100.0
28.86 deg, rel. 42.8
30.04 deg, rel. 58.5
32.83 deg, rel. 59.8
32.96 deg, rel. 20.5
38.23 deg, rel. 65.6
44.37 deg, rel. 19.6
45.88 deg, rel. 19.7
57.54 deg, rel. 20.6

Atomic structure:
```
data_Tl14As2Se9
_chemical_formula_sum 'Tl14 As2 Se9'
_space_group_name_H-M_alt 'P -3'
_space_group_IT_number 147
_space_group_name_Hall '-P 3'
_cell_length_a 9.4498
_cell_length_b 9.4498
_cell_length_c 10.8710
_cell_angle_alpha 90.00
_cell_angle_beta 90.00
_cell_angle_gamma 120.00
loop_
_atom_site_label
_atom_site_fract_x
_atom_site_fract_y
_atom_site_fract_z
_atom_site_occupancy
Tl1 0.0000 0.0000 0.2099 1
Tl2 0.0121 0.6736 0.4092 1
Tl3 0.1044 0.4232 0.1359 1
As1 0.3333 0.6667 0.8092 1
Se1 0.0000 0.0000 0.5000 1
Se2 0.1051 0.3615 0.8620 1
Se3 0.3333 0.6667 0.5804 1
```



Entry 6:
For Tl2BCl5, the PBE geometry in Alexandria gives the simulated PXRD pattern in this record (a wavelength of 1.5418 Å).

Largest 10 diffraction maxima, in order of rising 2θ, 2θ from 15° to 90°:
19.68 deg, rel. 37.2
20.05 deg, rel. 37.4
23.19 deg, rel. 57.1
24.41 deg, rel. 82.5
28.24 deg, rel. 63.5
30.81 deg, rel. 100.0
30.92 deg, rel. 33.1
37.59 deg, rel. 29.3
37.74 deg, rel. 28.9
47.33 deg, rel. 29.9

Atomic structure:
```
data_Tl2BCl5
_chemical_formula_sum 'Tl2 B1 Cl5'
_space_group_name_H-M_alt 'P 1'
_space_group_IT_number 1
_space_group_name_Hall 'P 1'
_cell_length_a 6.317
_cell_length_b 6.326
_cell_length_c 8.512
_cell_angle_alpha 111.28
_cell_angle_beta 111.07
_cell_angle_gamma 91.05
loop_
_atom_site_label
_atom_site_fract_x
_atom_site_fract_y
_atom_site_fract_z
_atom_site_occupancy
Tl1 0.000 0.000 0.000 1
Tl2 0.491 0.491 0.982 1
B1 0.246 0.746 0.491 1
Cl1 0.317 0.481 0.491 1
Cl2 0.442 0.942 0.489 1
Cl3 0.493 0.992 0.986 1
Cl4 0.981 0.815 0.492 1
Cl5 0.998 0.497 0.995 1
```



Entry 7:
For ScZn6Ag6, the PBE geometry in Alexandria gives the simulated PXRD pattern in this record (a wavelength of 1.5418 Å).

Largest 10 diffraction maxima, in order of rising 2θ, 2θ from 15° to 90°:
34.16 deg, rel. 69.2
34.73 deg, rel. 35.1
38.99 deg, rel. 41.9
39.37 deg, rel. 63.5
39.48 deg, rel. 83.5
39.99 deg, rel. 44.2
40.09 deg, rel. 29.6
44.07 deg, rel. 44.9
44.21 deg, rel. 43.0
44.82 deg, rel. 100.0

Atomic structure:
```
data_ScZn6Ag6
_chemical_formula_sum 'Sc2 Zn12 Ag12'
_space_group_name_H-M_alt 'I m m m'
_space_group_IT_number 71
_space_group_name_Hall '-I 2 2'
_cell_length_a 5.167
_cell_length_b 9.143
_cell_length_c 9.240
_cell_angle_alpha 90.00
_cell_angle_beta 90.00
_cell_angle_gamma 90.00
loop_
_atom_site_label
_atom_site_fract_x
_atom_site_fract_y
_atom_site_fract_z
_atom_site_occupancy
Sc1 0.000 0.000 0.000 1
Zn1 0.000 0.500 0.270 1
Zn2 0.250 0.250 0.250 1
Ag1 0.000 0.000 0.345 1
Ag2 0.000 0.316 0.500 1
Ag3 0.000 0.343 0.000 1
```



Entry 8:
For CsMg4Al9Si9O36, the PBE geometry in Alexandria gives the simulated PXRD pattern in this record (a wavelength of 1.5418 Å).

Largest 10 diffraction maxima, in order of rising 2θ, 2θ from 15° to 90°:
20.23 deg, rel. 17.2
25.99 deg, rel. 100.0
26.07 deg, rel. 19.9
28.02 deg, rel. 78.9
28.12 deg, rel. 45.7
29.09 deg, rel. 57.1
29.26 deg, rel. 53.2
37.80 deg, rel. 20.4
53.36 deg, rel. 14.2
53.51 deg, rel. 20.1

Atomic structure:
```
data_CsMg4Al9Si9O36
_chemical_formula_sum 'Cs1 Mg4 Al9 Si9 O36'
_space_group_name_H-M_alt 'P 1'
_space_group_IT_number 1
_space_group_name_Hall 'P 1'
_cell_length_a 9.520
_cell_length_b 9.840
_cell_length_c 9.873
_cell_angle_alpha 60.42
_cell_angle_beta 89.95
_cell_angle_gamma 89.92
loop_
_atom_site_label
_atom_site_fract_x
_atom_site_fract_y
_atom_site_fract_z
_atom_site_occupancy
Cs1 0.000 0.000 0.000 1
Mg1 0.476 0.337 0.304 1
Mg2 0.476 0.668 0.651 1
Mg3 0.978 0.668 0.651 1
Mg4 0.979 0.337 0.304 1
Al1 0.227 0.634 0.088 1
Al2 0.228 0.117 0.245 1
Al3 0.477 0.002 0.480 1
Al4 0.477 0.499 0.984 1
Al5 0.477 0.502 0.480 1
Al6 0.727 0.259 0.090 1
Al7 0.977 0.499 0.984 1
Al8 0.978 0.002 0.479 1
Al9 0.978 0.503 0.480 1
Si1 0.226 0.735 0.363 1
Si2 0.227 0.273 0.601 1
Si3 0.227 0.379 0.868 1
Si4 0.227 0.899 0.713 1
Si5 0.727 0.102 0.615 1
Si6 0.727 0.623 0.251 1
Si7 0.727 0.733 0.879 1
Si8 0.728 0.373 0.713 1
Si9 0.728 0.886 0.362 1
O1 0.078 0.145 0.330 1
O2 0.079 0.519 0.118 1
O3 0.085 0.348 0.496 1
O4 0.085 0.489 0.838 1
O5 0.086 0.650 0.476 1
O6 0.086 0.867 0.634 1
O7 0.219 0.702 0.220 1
O8 0.221 0.795 0.898 1
O9 0.221 0.919 0.300 1
O10 0.222 0.231 0.041 1
O11 0.224 0.314 0.743 1
O12 0.225 0.085 0.670 1
O13 0.369 0.488 0.840 1
O14 0.369 0.653 0.471 1
O15 0.369 0.866 0.636 1
O16 0.370 0.349 0.496 1
O17 0.377 0.144 0.331 1
O18 0.377 0.521 0.119 1
O19 0.580 0.346 0.119 1
O20 0.586 0.483 0.634 1
O21 0.586 0.657 0.846 1
O22 0.587 0.130 0.510 1
O23 0.587 0.516 0.328 1
O24 0.587 0.858 0.471 1
O25 0.729 0.698 0.061 1
O26 0.730 0.230 0.673 1
O27 0.730 0.761 0.297 1
O28 0.730 0.924 0.767 1
O29 0.733 0.298 0.897 1
O30 0.734 0.058 0.215 1
O31 0.867 0.485 0.631 1
O32 0.868 0.129 0.510 1
O33 0.868 0.657 0.846 1
O34 0.868 0.857 0.472 1
O35 0.869 0.517 0.327 1
O36 0.874 0.347 0.119 1
```



Entry 9:
For Sm2Hf3Si4, the PBE geometry in Alexandria gives the simulated PXRD pattern in this record (a wavelength of 1.5418 Å).

Largest 10 diffraction maxima, in order of rising 2θ, 2θ from 15° to 90°:
24.31 deg, rel. 48.2
27.66 deg, rel. 71.2
28.17 deg, rel. 58.6
30.46 deg, rel. 51.2
34.97 deg, rel. 94.9
35.18 deg, rel. 100.0
35.58 deg, rel. 77.5
39.17 deg, rel. 53.2
39.87 deg, rel. 82.5
60.34 deg, rel. 40.1

Atomic structure:
```
data_Sm2Hf3Si4
_chemical_formula_sum 'Sm4 Hf6 Si8'
_space_group_name_H-M_alt 'P 1 21/c 1'
_space_group_IT_number 14
_space_group_name_Hall '-P 2ybc'
_cell_length_a 7.334
_cell_length_b 7.337
_cell_length_c 7.135
_cell_angle_alpha 90.00
_cell_angle_beta 108.53
_cell_angle_gamma 90.00
loop_
_atom_site_label
_atom_site_fract_x
_atom_site_fract_y
_atom_site_fract_z
_atom_site_occupancy
Sm1 0.189 0.170 0.071 1
Hf1 0.254 0.678 0.250 1
Hf2 0.500 0.000 0.500 1
Si1 0.084 0.535 0.871 1
Si2 0.493 0.124 0.870 1
```



Entry 10:
For CdSiO3, the PBE geometry in Alexandria gives the simulated PXRD pattern in this record (a wavelength of 1.5418 Å).

Largest 10 diffraction maxima, in order of rising 2θ, 2θ from 15° to 90°:
18.06 deg, rel. 70.1
25.70 deg, rel. 29.4
28.75 deg, rel. 27.8
30.48 deg, rel. 85.9
33.20 deg, rel. 100.0
37.45 deg, rel. 54.3
42.43 deg, rel. 51.6
44.44 deg, rel. 23.9
57.24 deg, rel. 31.0
58.47 deg, rel. 27.5

Atomic structure:
```
data_CdSiO3
_chemical_formula_sum 'Cd8 Si8 O24'
_space_group_name_H-M_alt 'P b c n'
_space_group_IT_number 60
_space_group_name_Hall '-P 2n 2ab'
_cell_length_a 9.824
_cell_length_b 9.782
_cell_length_c 5.506
_cell_angle_alpha 90.00
_cell_angle_beta 90.00
_cell_angle_gamma 90.00
loop_
_atom_site_label
_atom_site_fract_x
_atom_site_fract_y
_atom_site_fract_z
_atom_site_occupancy
Cd1 0.000 0.102 0.250 1
Cd2 0.000 0.275 0.750 1
Si1 0.207 0.417 0.092 1
O1 0.126 0.090 0.594 1
O2 0.130 0.271 0.069 1
O3 0.156 0.498 0.342 1
```